(1)
Simulated powder X-ray diffraction pattern
Compound: Au
Radiation: copper Kα
Structure: a structure optimized by DFT (PBE)

a = 7.216 Å, b = 7.216 Å, c = 3.674 Å
α = 90.00°, β = 90.00°, γ = 90.00°
Sites, in units of the cell vectors:
Au  0.000  0.000  0.000
Au  0.140  0.360  0.000
Au  0.160  0.660  0.500
Au  0.340  0.160  0.500
Au  0.360  0.860  0.000
Au  0.500  0.500  0.000
Au  0.640  0.140  0.000
Au  0.660  0.840  0.500
Au  0.840  0.340  0.500
Au  0.860  0.640  0.000

Peak list (12 most intense, 2θ = 15–90°, by intensity)
2θ/deg  I_rel  (hkl)
37.1  100.0  2 1 1
39.5  46.1  3 1 0
65.2  21.5  3 1 2
75.5  18.3  5 2 1
49.6  14.9  0 0 2
34.9  13.8  2 0 1
84.6  10.0  2 1 3
58.4  10.0  4 1 1
35.2  6.3  2 2 0
46.9  6.2  3 1 1
52.0  6.0  3 2 1
53.9  5.8  3 3 0

***

(2)
Simulated powder X-ray diffraction pattern
Compound: Lu5GaS9
Radiation: copper Kα
Structure: a structure optimized by DFT (PBE)

a = 7.764 Å, b = 10.058 Å, c = 10.167 Å
α = 106.35°, β = 100.22°, γ = 101.93°
Sites, in units of the cell vectors:
Lu  0.036  0.188  0.456
Lu  0.136  0.853  0.222
Lu  0.249  0.490  0.010
Lu  0.310  0.822  0.878
Lu  0.360  0.157  0.767
Lu  0.640  0.843  0.233
Lu  0.690  0.178  0.122
Lu  0.751  0.510  0.990
Lu  0.864  0.147  0.778
Lu  0.964  0.812  0.544
Ga  0.376  0.598  0.475
Ga  0.624  0.402  0.525
S  0.049  0.667  0.957
S  0.087  0.982  0.815
S  0.140  0.322  0.736
S  0.184  0.661  0.610
S  0.231  0.003  0.494
S  0.326  0.349  0.396
S  0.349  0.678  0.279
S  0.418  0.992  0.155
S  0.480  0.334  0.039
S  0.520  0.666  0.961
S  0.582  0.008  0.845
S  0.651  0.322  0.721
S  0.674  0.651  0.604
S  0.769  0.997  0.506
S  0.816  0.339  0.390
S  0.860  0.678  0.264
S  0.913  0.018  0.185
S  0.951  0.333  0.043

Peak list (12 most intense, 2θ = 15–90°, by intensity)
2θ/deg  I_rel  (hkl)
32.7  100.0  2 -3 1
33.3  96.6  2 2 -2
32.9  96.3  0 1 3
47.4  83.9  2 1 -5
46.8  53.6  -4 1 1
18.0  51.6  0 1 -2
28.3  49.0  -2 1 2
16.3  45.5  -1 1 1
46.8  44.7  2 -2 4
28.5  43.6  0 2 -3
28.2  41.1  2 0 1
47.9  40.5  0 5 -3

***

(3)
Simulated powder X-ray diffraction pattern
Compound: CdAg7
Radiation: copper Kα
Structure: a structure optimized by DFT (PBE)

a = 2.926 Å, b = 2.926 Å, c = 45.408 Å
α = 90.00°, β = 90.00°, γ = 90.00°
Sites, in units of the cell vectors:
Cd  0.250  0.250  0.150
Cd  0.750  0.750  0.850
Ag  0.250  0.250  0.248
Ag  0.250  0.250  0.340
Ag  0.250  0.250  0.432
Ag  0.250  0.250  0.523
Ag  0.250  0.250  0.614
Ag  0.250  0.250  0.706
Ag  0.250  0.250  0.799
Ag  0.750  0.750  0.201
Ag  0.750  0.750  0.294
Ag  0.750  0.750  0.386
Ag  0.750  0.750  0.477
Ag  0.750  0.750  0.568
Ag  0.750  0.750  0.660
Ag  0.750  0.750  0.752

Peak list (12 most intense, 2θ = 15–90°, by intensity)
2θ/deg  I_rel  (hkl)
37.7  100.0  1 0 11
43.8  41.1  1 1 0
36.5  24.5  1 0 10
76.3  23.2  2 1 11
63.7  18.9  1 1 22
43.9  16.4  0 0 22
63.6  10.6  2 0 0
35.5  8.7  1 0 9
80.5  8.5  2 0 22
62.1  8.3  1 1 21
76.5  7.6  1 0 33
41.8  7.1  0 0 21